[1]
Theoretical powder XRD pattern of Tb4DyS6 for Cu Ka, from DFT lattice parameters and positions (GGA-PBE).

Structure:
a = 3.838 Å, b = 12.931 Å, c = 19.893 Å
α = 90.00°, β = 90.00°, γ = 90.00°
Space group Cmcm (No. 63)
One atom of each set of equivalent atoms:
Tb1 0.000 0.091 0.128 (multiplicity 8)
Tb2 0.000 0.361 0.040 (multiplicity 8)
Dy1 0.000 0.152 0.750 (multiplicity 4)
S1 0.000 0.000 0.000 (multiplicity 4)
S2 0.000 0.195 0.250 (multiplicity 4)
S3 0.000 0.270 0.589 (multiplicity 8)
S4 0.000 0.448 0.168 (multiplicity 8)

Most intense lines, 2θ = 10–90°, sorted by position:
2theta	I/Imax	h k l
25.8	29	1 1 2
26.3	100	0 2 5
27.6	31	0 4 0
27.7	45	1 1 3
31.5	28	1 3 1
32.5	75	1 3 2
34.1	53	1 3 3
43.9	37	1 1 8

***

[2]
Theoretical powder XRD pattern of DyTeS4 for Cu Ka, from DFT lattice parameters and positions (GGA-PBE).

Structure:
a = 6.218 Å, b = 6.772 Å, c = 6.886 Å
α = 90.00°, β = 96.81°, γ = 90.00°
Space group P2_1/c (No. 14)
One atom of each set of equivalent atoms:
Dy1 0.000 0.000 0.000 (multiplicity 2)
Te1 0.500 0.000 0.500 (multiplicity 2)
S1 0.142 0.161 0.358 (multiplicity 4)
S2 0.288 0.720 0.257 (multiplicity 4)

Most intense lines, 2θ = 10–90°, sorted by position:
2theta	I/Imax	h k l
22.5	100	1 1 -1
24.4	71	1 1 1
37.4	42	0 2 2
39.5	35	2 2 0
41.7	21	2 0 2
42.8	25	1 1 -3
44.2	20	1 3 -1
45.3	20	1 3 1

***

[3]
Theoretical powder XRD pattern of Dy2TeS4 for Cu Ka, from DFT lattice parameters and positions (GGA-PBE).

Structure:
a = 6.066 Å, b = 6.066 Å, c = 13.888 Å
α = 90.00°, β = 90.00°, γ = 90.00°
Space group I-42m (No. 121)
One atom of each set of equivalent atoms:
Dy1 0.000 0.500 0.250 (multiplicity 4)
Te1 0.000 0.000 0.000 (multiplicity 2)
S1 0.233 0.233 0.144 (multiplicity 8)

Most intense lines, 2θ = 10–90°, sorted by position:
2theta	I/Imax	h k l
12.7	27	0 0 2
15.9	23	1 0 1
24.4	100	1 1 2
29.5	14	2 0 0
39.5	41	2 0 4
42.1	17	2 2 0
44.5	19	1 1 6
49.3	29	3 1 2

***

[4]
Theoretical powder XRD pattern of DyY2Te2S2 for Cu Ka, from DFT lattice parameters and positions (GGA-PBE).

Structure:
a = 5.060 Å, b = 5.060 Å, c = 15.621 Å
α = 90.00°, β = 90.00°, γ = 90.00°
Space group I4/mmm (No. 139)
One atom of each set of equivalent atoms:
Dy1 0.000 0.000 0.000 (multiplicity 2)
Y1 0.000 0.000 0.388 (multiplicity 4)
Te1 0.000 0.000 0.190 (multiplicity 4)
S1 0.000 0.500 0.000 (multiplicity 4)

Most intense lines, 2θ = 10–90°, sorted by position:
2theta	I/Imax	h k l
18.4	17	1 0 1
24.9	94	1 1 0
33.7	100	1 0 5
35.5	59	2 0 0
49.8	66	2 1 5
51.1	20	2 2 0
57.6	19	3 1 0
74.1	20	3 2 5

***

[5]
Theoretical powder XRD pattern of DyTh3S4 for Cu Ka, from DFT lattice parameters and positions (GGA-PBE).

Structure:
a = 6.937 Å, b = 8.159 Å, c = 6.871 Å
α = 90.00°, β = 110.29°, γ = 90.00°
Space group P2/c (No. 13)
One atom of each set of equivalent atoms:
Dy1 0.000 0.124 0.250 (multiplicity 2)
Th1 0.000 0.375 0.750 (multiplicity 2)
Th2 0.500 0.125 0.750 (multiplicity 2)
Th3 0.500 0.376 0.250 (multiplicity 2)
S1 0.240 0.120 0.000 (multiplicity 4)
S2 0.244 0.369 0.494 (multiplicity 4)

Most intense lines, 2θ = 10–90°, sorted by position:
2theta	I/Imax	h k l
26.9	51	1 2 -1
27.4	24	2 0 0
27.7	24	0 0 2
31.6	100	1 2 1
44.4	13	0 4 0
45.1	25	3 2 -1
45.4	24	1 2 -3
55.5	13	2 4 -2

***

[6]
Theoretical powder XRD pattern of Dy5ThS6 for Cu Ka, from DFT lattice parameters and positions (GGA-PBE).

Structure:
a = 6.792 Å, b = 11.800 Å, c = 6.819 Å
α = 90.00°, β = 109.63°, γ = 90.00°
Space group C2/m (No. 12)
One atom of each set of equivalent atoms:
Dy1 0.000 0.000 0.000 (multiplicity 2)
Dy2 0.000 0.167 0.500 (multiplicity 4)
Dy3 0.000 0.334 0.000 (multiplicity 4)
Th1 0.000 0.500 0.500 (multiplicity 2)
S1 0.244 0.000 0.754 (multiplicity 4)
S2 0.245 0.170 0.245 (multiplicity 8)

Most intense lines, 2θ = 10–90°, sorted by position:
2theta	I/Imax	h k l
27.8	65	0 0 2
27.9	22	2 0 0
32.2	100	1 3 1
46.1	36	0 6 0
46.3	36	2 0 2
54.8	29	2 6 0
57.4	19	0 0 4
85.6	13	1 3 5

***

[7]
Theoretical powder XRD pattern of Dy4ThS5 for Cu Ka, from DFT lattice parameters and positions (GGA-PBE).

Structure:
a = 3.920 Å, b = 5.580 Å, c = 19.734 Å
α = 90.00°, β = 90.00°, γ = 90.00°
Space group Immm (No. 71)
One atom of each set of equivalent atoms:
Dy1 0.000 0.000 0.098 (multiplicity 4)
Dy2 0.000 0.000 0.299 (multiplicity 4)
Th1 0.000 0.000 0.500 (multiplicity 2)
S1 0.000 0.500 0.105 (multiplicity 4)
S2 0.000 0.500 0.301 (multiplicity 4)
S3 0.000 0.500 0.500 (multiplicity 2)

Most intense lines, 2θ = 10–90°, sorted by position:
2theta	I/Imax	h k l
27.7	66	0 1 5
27.8	65	1 1 0
32.1	51	0 2 0
32.2	100	1 0 5
46.1	91	1 2 5
54.6	33	1 1 10
54.8	21	2 1 5
76.4	24	1 4 5

***

[8]
Theoretical powder XRD pattern of DyTiS for Cu Ka, from DFT lattice parameters and positions (GGA-PBE).

Structure:
a = 3.505 Å, b = 4.496 Å, c = 15.336 Å
α = 90.00°, β = 90.00°, γ = 90.00°
Space group Immm (No. 71)
One atom of each set of equivalent atoms:
Dy1 0.000 0.000 0.168 (multiplicity 4)
Ti1 0.000 0.253 0.500 (multiplicity 4)
S1 0.000 0.000 0.346 (multiplicity 4)

Most intense lines, 2θ = 10–90°, sorted by position:
2theta	I/Imax	h k l
20.6	30	0 1 1
26.4	71	0 1 3
30.9	93	1 0 3
32.4	100	1 1 0
34.5	41	1 1 2
35.1	61	0 0 6
40.2	30	1 1 4
48.5	81	1 1 6

***

[9]
Theoretical powder XRD pattern of DyTi4S8 for Cu Ka, from DFT lattice parameters and positions (GGA-PBE).

Structure:
a = 6.8925 Å, b = 6.8925 Å, c = 19.3092 Å
α = 90.00°, β = 90.00°, γ = 120.00°
Space group R-3m (No. 166, hexagonal axes)
One atom of each set of equivalent atoms:
Dy1 0.0000 0.0000 0.0000 (multiplicity 3)
Ti1 0.0000 0.0000 0.5000 (multiplicity 3)
Ti2 0.0000 0.5000 0.5000 (multiplicity 9)
S1 0.0000 0.0000 0.2389 (multiplicity 6)
S2 0.0067 0.5034 0.2422 (multiplicity 18)

Most intense lines, 2θ = 10–90°, sorted by position:
2theta	I/Imax	h k l
15.5	49	1 0 1
17.5	40	0 1 2
23.7	19	1 0 4
29.4	21	1 1 3
35.4	100	0 2 4
40.3	16	2 1 1
48.5	36	2 0 8
53.2	29	2 2 0

***

[10]
Theoretical powder XRD pattern of Dy4YTlS8 for Cu Ka, from DFT lattice parameters and positions (GGA-PBE).

Structure:
a = 8.2081 Å, b = 8.2081 Å, c = 20.1427 Å
α = 90.00°, β = 90.00°, γ = 120.00°
Space group R3m (No. 160, hexagonal axes)
One atom of each set of equivalent atoms:
Dy1 0.0000 0.0000 0.0000 (multiplicity 3)
Dy2 0.0108 0.5054 0.1266 (multiplicity 9)
Y1 0.0000 0.0000 0.6210 (multiplicity 3)
Tl1 0.0000 0.0000 0.2506 (multiplicity 3)
S1 0.0000 0.0000 0.3920 (multiplicity 3)
S2 0.0000 0.0000 0.8677 (multiplicity 3)
S3 0.0198 0.5099 0.3777 (multiplicity 9)
S4 0.1884 0.3769 0.2027 (multiplicity 9)

Most intense lines, 2θ = 10–90°, sorted by position:
2theta	I/Imax	h k l
21.6	37	1 0 4
25.4	100	0 2 1
38.0	16	2 1 4
40.3	47	0 2 7
44.1	54	2 2 0
51.6	15	4 0 1
61.3	14	4 0 7
81.2	12	6 0 0

***

[11]
Theoretical powder XRD pattern of Dy3TmS4 for Cu Ka, from DFT lattice parameters and positions (GGA-PBE).

Structure:
a = 5.501 Å, b = 5.501 Å, c = 5.501 Å
α = 90.00°, β = 90.00°, γ = 90.00°
Space group Pm-3m (No. 221)
One atom of each set of equivalent atoms:
Dy1 0.000 0.000 0.500 (multiplicity 3)
Tm1 0.500 0.500 0.500 (multiplicity 1)
S1 0.000 0.000 0.000 (multiplicity 1)
S2 0.000 0.500 0.500 (multiplicity 3)

Most intense lines, 2θ = 10–90°, sorted by position:
2theta	I/Imax	h k l
28.1	83	1 1 1
32.6	100	2 0 0
46.7	72	2 2 0
55.4	40	3 1 1
58.1	25	2 2 2
75.3	16	3 3 1
77.6	32	4 2 0
86.7	25	4 2 2

***

[12]
Theoretical powder XRD pattern of Dy4TmS7 for Cu Ka, from DFT lattice parameters and positions (GGA-PBE).

Structure:
a = 12.811 Å, b = 3.800 Å, c = 11.584 Å
α = 90.00°, β = 104.71°, γ = 90.00°
Space group Cm (No. 8)
One atom of each set of equivalent atoms:
Dy1 0.000 0.000 0.000 (multiplicity 2)
Dy2 0.088 0.500 0.389 (multiplicity 2)
Dy3 0.189 0.000 0.767 (multiplicity 2)
Dy4 0.388 0.500 0.577 (multiplicity 2)
Tm1 0.276 0.500 0.156 (multiplicity 2)
S1 0.048 0.500 0.629 (multiplicity 2)
S2 0.130 0.500 0.932 (multiplicity 2)
S3 0.150 0.000 0.224 (multiplicity 2)
S4 0.228 0.000 0.526 (multiplicity 2)
S5 0.347 0.500 0.793 (multiplicity 2)
S6 0.387 0.000 0.079 (multiplicity 2)
S7 0.429 0.500 0.360 (multiplicity 2)

Most intense lines, 2θ = 10–90°, sorted by position:
2theta	I/Imax	h k l
24.0	81	2 0 2
24.5	100	2 0 -3
26.3	33	1 1 1
27.9	38	4 0 -1
31.6	37	3 1 -1
33.3	47	3 1 -2
34.4	35	3 1 1
42.2	28	1 1 4

***

[13]
Theoretical powder XRD pattern of DyTm2S2 for Cu Ka, from DFT lattice parameters and positions (GGA-PBE).

Structure:
a = 3.7750 Å, b = 3.7750 Å, c = 28.3263 Å
α = 90.00°, β = 90.00°, γ = 120.00°
Space group R-3m (No. 166, hexagonal axes)
One atom of each set of equivalent atoms:
Dy1 0.0000 0.0000 0.0000 (multiplicity 3)
Tm1 0.0000 0.0000 0.2154 (multiplicity 6)
S1 0.0000 0.0000 0.3921 (multiplicity 6)

Most intense lines, 2θ = 10–90°, sorted by position:
2theta	I/Imax	h k l
27.5	17	1 0 1
28.4	26	0 0 9
30.1	41	1 0 4
31.6	100	0 1 5
42.2	27	1 0 10
48.2	38	1 1 0
56.9	24	1 1 9
58.8	17	2 0 5